The following is a calculated powder X-ray diffraction pattern of Rb3Pu3TaTe8. It was derived from a structure optimized by DFT (GGA-PBE), using Cu Kα, 1.54184 Å.

Atomic structure:
Unit cell a=8.8255 b=8.8255 c=26.4000 alpha=90.00 beta=90.00 gamma=120.00
Space group R-3m (No. 166, hexagonal axes)
Inequivalent atoms, fractional coordinates:
Rb (0.0000, 0.5000, 0.0000)
Pu (0.0000, 0.5000, 0.5000)
Ta (0.0000, 0.0000, 0.5000)
Te (0.0000, 0.0000, 0.2346)
Te (0.0262, 0.5131, 0.2295)

Top 10 peaks for 15° ≤ 2θ ≤ 90°, low angle first:
- 26.96 deg, I 100, (0 2 4)
- 33.38 deg, I 26, (0 2 7)
- 35.96 deg, I 35, (2 0 8)
- 40.90 deg, I 36, (2 2 0)
- 42.23 deg, I 14, (2 2 3)
- 44.58 deg, I 16, (2 0 11)
- 49.67 deg, I 18, (4 0 4)
- 55.58 deg, I 10, (0 4 8)
- 59.31 deg, I 10, (2 2 12)
- 66.24 deg, I 14, (2 4 4)